Entry 1:
Structure and calculated powder diffraction line list of CuAgPd5 (a structure optimized by DFT (GGA-PBE); Cu Kα).
Lines closer than 0.1° are merged.

Crystal structure
a = 5.382 Å, b = 7.962 Å, c = 5.506 Å
α = 90.00°, β = 90.00°, γ = 90.00°
Space group Cmmm (No. 65)
Unique sites:
Cu 0.000 0.000 0.000
Ag 0.000 0.500 0.500
Pd 0.000 0.500 0.000
Pd 0.250 0.250 0.248

Most intense lines, 2θ = 10–90°, in order of rising 2θ:
2θ/deg	I (rel.)	h k l
19.9	27	1 1 0
39.8	100	0 2 2
40.5	95	2 2 0
45.6	34	0 4 0
47.2	61	2 0 2
67.7	40	2 4 2



Entry 2:
Structure and calculated powder diffraction line list of Cu10AgPd4 (a structure optimized by DFT (GGA-PBE); Cu Kα).
Lines closer than 0.1° are merged.

Crystal structure
a = 11.471 Å, b = 7.230 Å, c = 4.957 Å
α = 90.00°, β = 100.67°, γ = 90.00°
Space group C2/m (No. 12)
Unique sites:
Cu 0.000 0.169 0.000
Cu 0.102 0.335 0.399
Cu 0.203 0.167 0.799
Ag 0.000 0.000 0.500
Pd 0.099 0.500 0.897
Pd 0.199 0.000 0.296

Most intense lines, 2θ = 10–90°, in order of rising 2θ:
2θ/deg	I (rel.)	h k l
42.0	51	5 1 0
42.2	100	4 2 -1
43.1	45	2 0 2
43.3	89	1 3 1
62.0	30	2 2 -3
86.9	16	7 3 -3



Entry 3:
Structure and calculated powder diffraction line list of Cu2AgPd6 (a structure optimized by DFT (GGA-PBE); Cu Kα).
Lines closer than 0.1° are merged.

Crystal structure
a = 3.909 Å, b = 11.747 Å, c = 11.759 Å
α = 90.00°, β = 90.00°, γ = 90.00°
Space group Fmmm (No. 69)
Unique sites:
Cu 0.000 0.170 0.000
Ag 0.000 0.000 0.500
Pd 0.000 0.000 0.166
Pd 0.000 0.169 0.338

Most intense lines, 2θ = 10–90°, in order of rising 2θ:
2θ/deg	I (rel.)	h k l
39.9	100	1 3 3
46.4	32	0 6 0
46.5	16	2 0 0
67.7	20	2 0 6
81.5	23	1 9 3
81.7	12	3 3 3